NdTm4Cd: simulated powder diffraction line list (a wavelength of 1.5418 Å), based on a PBE-relaxed structure.
Peak positions follow from Bragg's law for the DFT cell and can differ from measured ones.

Structure:
Cell: 3.547 3.547 14.050 Å, 90.00 90.00 90.00°
Atoms (fractional coordinates):
Nd1 0.000 0.000 0.000
Tm1 0.000 0.000 0.354
Tm2 0.000 0.000 0.646
Tm3 0.500 0.500 0.180
Tm4 0.500 0.500 0.820
Cd1 0.500 0.500 0.500

The 10 most intense peaks (10 to 90 degrees two-theta), low angle first:
- 2θ 31.64, d 2.828, I = 100
- 2θ 35.80, d 2.508, I = 39
- 2θ 38.44, d 2.342, I = 11
- 2θ 51.53, d 1.774, I = 14
- 2θ 53.54, d 1.712, I = 18
- 2θ 61.74, d 1.502, I = 30
- 2θ 65.30, d 1.429, I = 6
- 2θ 66.09, d 1.414, I = 9
- 2θ 84.51, d 1.146, I = 6
- 2θ 86.83, d 1.122, I = 6


NdY7Cd4: simulated powder diffraction line list (a wavelength of 1.5418 Å), based on a PBE-relaxed structure.
Peak positions follow from Bragg's law for the DFT cell and can differ from measured ones.

Structure:
Cell: 7.922 7.922 9.850 Å, 119.81 119.81 42.38°
Atoms (fractional coordinates):
Nd1 0.000 0.000 0.000
Y1 0.071 0.071 0.412
Y2 0.207 0.207 0.881
Y3 0.265 0.265 0.311
Y4 0.500 0.500 0.000
Y5 0.735 0.735 0.689
Y6 0.793 0.793 0.119
Y7 0.929 0.929 0.588
Cd1 0.318 0.318 0.660
Cd2 0.457 0.457 0.283
Cd3 0.543 0.543 0.717
Cd4 0.682 0.682 0.340

The 10 most intense peaks (10 to 90 degrees two-theta), low angle first:
- 2θ 28.57, d 3.124, I = 23
- 2θ 29.51, d 3.027, I = 45
- 2θ 30.31, d 2.949, I = 49
- 2θ 31.23, d 2.864, I = 100
- 2θ 31.53, d 2.838, I = 22
- 2θ 31.71, d 2.822, I = 35
- 2θ 32.23, d 2.778, I = 26
- 2θ 32.69, d 2.740, I = 20
- 2θ 35.19, d 2.550, I = 84
- 2θ 43.51, d 2.080, I = 31


Nd2YCd3: simulated powder diffraction line list (a wavelength of 1.5418 Å), based on a PBE-relaxed structure.
Peak positions follow from Bragg's law for the DFT cell and can differ from measured ones.

Structure:
Cell: 5.404 5.404 6.632 Å, 90.00 90.00 120.00°
Atoms (fractional coordinates):
Nd1 0.333 0.667 0.173
Nd2 0.667 0.333 0.827
Y1 0.000 0.000 0.500
Cd1 0.000 0.000 0.000
Cd2 0.333 0.667 0.665
Cd3 0.667 0.333 0.335

The 10 most intense peaks (10 to 90 degrees two-theta), low angle first:
- 2θ 18.96, d 4.680, I = 1
- 2θ 23.26, d 3.824, I = 1
- 2θ 33.13, d 2.704, I = 100
- 2θ 47.56, d 1.912, I = 18
- 2θ 59.17, d 1.561, I = 27
- 2θ 59.23, d 1.560, I = 9
- 2θ 69.48, d 1.353, I = 6
- 2θ 69.59, d 1.351, I = 6
- 2θ 79.22, d 1.209, I = 15
- 2θ 88.65, d 1.103, I = 3


Nd9Y4Cd11: simulated powder diffraction line list (a wavelength of 1.5418 Å), based on a PBE-relaxed structure.
Peak positions follow from Bragg's law for the DFT cell and can differ from measured ones.

Structure:
Cell: 14.245 14.245 3.599 Å, 90.00 90.00 110.94°
Atoms (fractional coordinates):
Nd1 0.000 0.000 0.000
Nd2 0.126 0.649 0.000
Nd3 0.292 0.464 0.000
Nd4 0.351 0.874 0.000
Nd5 0.464 0.292 0.000
Nd6 0.536 0.708 0.000
Nd7 0.649 0.126 0.000
Nd8 0.708 0.536 0.000
Nd9 0.874 0.351 0.000
Y1 0.064 0.247 0.000
Y2 0.247 0.064 0.000
Y3 0.753 0.936 0.000
Y4 0.936 0.753 0.000
Cd1 0.085 0.444 0.500
Cd2 0.134 0.866 0.500
Cd3 0.251 0.251 0.500
Cd4 0.331 0.669 0.500
Cd5 0.444 0.085 0.500
Cd6 0.500 0.500 0.500
Cd7 0.556 0.915 0.500
Cd8 0.669 0.331 0.500
Cd9 0.749 0.749 0.500
Cd10 0.866 0.134 0.500
Cd11 0.915 0.556 0.500

The 10 most intense peaks (10 to 90 degrees two-theta), low angle first:
- 2θ 31.85, d 2.810, I = 100
- 2θ 33.35, d 2.687, I = 70
- 2θ 33.68, d 2.661, I = 12
- 2θ 33.84, d 2.649, I = 61
- 2θ 44.90, d 2.019, I = 13
- 2θ 50.73, d 1.799, I = 15
- 2θ 57.39, d 1.606, I = 16
- 2θ 57.78, d 1.596, I = 13
- 2θ 58.36, d 1.581, I = 12
- 2θ 61.16, d 1.515, I = 24


Nd3Y2Cd2: simulated powder diffraction line list (a wavelength of 1.5418 Å), based on a PBE-relaxed structure.
Peak positions follow from Bragg's law for the DFT cell and can differ from measured ones.

Structure:
Cell: 5.498 5.498 8.719 Å, 108.40 108.40 60.04°
Atoms (fractional coordinates):
Nd1 0.000 0.000 0.000
Nd2 0.159 0.159 0.475
Nd3 0.841 0.841 0.525
Y1 0.426 0.426 0.277
Y2 0.574 0.574 0.723
Cd1 0.289 0.289 0.868
Cd2 0.711 0.711 0.132

The 10 most intense peaks (10 to 90 degrees two-theta), low angle first:
- 2θ 31.85, d 2.810, I = 90
- 2θ 32.57, d 2.750, I = 100
- 2θ 39.59, d 2.277, I = 9
- 2θ 46.20, d 1.965, I = 31
- 2θ 56.31, d 1.634, I = 15
- 2θ 57.66, d 1.599, I = 32
- 2θ 58.11, d 1.587, I = 19
- 2θ 68.22, d 1.375, I = 11
- 2θ 76.09, d 1.251, I = 10
- 2θ 77.26, d 1.235, I = 13


Nd2YCd: simulated powder diffraction line list (a wavelength of 1.5418 Å), based on a PBE-relaxed structure.
Peak positions follow from Bragg's law for the DFT cell and can differ from measured ones.

Structure:
Cell: 11.265 11.265 11.265 Å, 18.74 18.74 18.74°
Atoms (fractional coordinates):
Nd1 0.000 0.000 0.000
Nd2 0.176 0.176 0.176
Y1 0.755 0.755 0.755
Cd1 0.588 0.588 0.588

The 10 most intense peaks (10 to 90 degrees two-theta), low angle first:
- 2θ 28.61, d 3.120, I = 30
- 2θ 31.21, d 2.866, I = 100
- 2θ 32.37, d 2.766, I = 36
- 2θ 33.97, d 2.639, I = 61
- 2θ 39.25, d 2.295, I = 24
- 2θ 49.71, d 1.834, I = 34
- 2θ 55.22, d 1.663, I = 21
- 2θ 59.87, d 1.545, I = 15
- 2θ 60.56, d 1.529, I = 42
- 2θ 81.45, d 1.182, I = 12


Nd3YCd4: simulated powder diffraction line list (a wavelength of 1.5418 Å), based on a PBE-relaxed structure.
Peak positions follow from Bragg's law for the DFT cell and can differ from measured ones.

Structure:
Cell: 9.405 9.405 9.405 Å, 33.46 33.46 33.46°
Atoms (fractional coordinates):
Nd1 0.000 0.000 0.000
Nd2 0.249 0.249 0.249
Nd3 0.751 0.751 0.751
Y1 0.500 0.500 0.500
Cd1 0.126 0.126 0.126
Cd2 0.377 0.377 0.377
Cd3 0.623 0.623 0.623
Cd4 0.874 0.874 0.874

The 10 most intense peaks (10 to 90 degrees two-theta), low angle first:
- 2θ 33.05, d 2.710, I = 100
- 2θ 47.44, d 1.916, I = 18
- 2θ 58.92, d 1.567, I = 9
- 2θ 59.08, d 1.564, I = 27
- 2θ 69.27, d 1.356, I = 6
- 2θ 69.44, d 1.354, I = 6
- 2θ 78.94, d 1.213, I = 8
- 2θ 79.07, d 1.211, I = 8
- 2θ 88.10, d 1.109, I = 1
- 2θ 88.43, d 1.106, I = 3


Nd5Zn3Cd: simulated powder diffraction line list (a wavelength of 1.5418 Å), based on a PBE-relaxed structure.
Peak positions follow from Bragg's law for the DFT cell and can differ from measured ones.

Structure:
Cell: 9.153 9.153 6.777 Å, 90.00 90.00 120.00°
Atoms (fractional coordinates):
Nd1 0.000 0.306 0.250
Nd2 0.000 0.694 0.750
Nd3 0.306 0.000 0.250
Nd4 0.306 0.306 0.750
Nd5 0.333 0.667 0.000
Nd6 0.333 0.667 0.500
Nd7 0.667 0.333 0.000
Nd8 0.667 0.333 0.500
Nd9 0.694 0.000 0.750
Nd10 0.694 0.694 0.250
Zn1 0.000 0.357 0.750
Zn2 0.000 0.643 0.250
Zn3 0.357 0.000 0.750
Zn4 0.357 0.357 0.250
Zn5 0.643 0.000 0.250
Zn6 0.643 0.643 0.750
Cd1 0.000 0.000 0.000
Cd2 0.000 0.000 0.500

The 10 most intense peaks (10 to 90 degrees two-theta), low angle first:
- 2θ 23.46, d 3.793, I = 15
- 2θ 32.68, d 2.740, I = 10
- 2θ 32.89, d 2.723, I = 100
- 2θ 33.93, d 2.642, I = 89
- 2θ 47.97, d 1.896, I = 32
- 2θ 60.05, d 1.541, I = 30
- 2θ 60.71, d 1.525, I = 13
- 2θ 65.44, d 1.426, I = 26
- 2θ 80.87, d 1.189, I = 12
- 2θ 85.69, d 1.134, I = 10


Nd2Zn9Cd: simulated powder diffraction line list (a wavelength of 1.5418 Å), based on a PBE-relaxed structure.
Peak positions follow from Bragg's law for the DFT cell and can differ from measured ones.

Structure:
Cell: 9.072 9.072 9.072 Å, 36.09 36.09 36.09°
Atoms (fractional coordinates):
Nd1 0.140 0.140 0.140
Nd2 0.860 0.860 0.860
Zn1 0.078 0.584 0.584
Zn2 0.335 0.335 0.335
Zn3 0.416 0.416 0.922
Zn4 0.416 0.922 0.416
Zn5 0.500 0.500 0.500
Zn6 0.584 0.078 0.584
Zn7 0.584 0.584 0.078
Zn8 0.665 0.665 0.665
Zn9 0.922 0.416 0.416
Cd1 0.000 0.000 0.000

The 10 most intense peaks (10 to 90 degrees two-theta), low angle first:
- 2θ 30.72, d 2.910, I = 33
- 2θ 31.85, d 2.810, I = 49
- 2θ 33.68, d 2.661, I = 35
- 2θ 37.11, d 2.422, I = 40
- 2θ 38.44, d 2.342, I = 100
- 2θ 39.66, d 2.273, I = 15
- 2θ 41.12, d 2.195, I = 24
- 2θ 43.35, d 2.087, I = 15
- 2θ 61.17, d 1.515, I = 24
- 2θ 66.55, d 1.405, I = 28


Nd3Zn4Cd4: simulated powder diffraction line list (a wavelength of 1.5418 Å), based on a PBE-relaxed structure.
Peak positions follow from Bragg's law for the DFT cell and can differ from measured ones.

Structure:
Cell: 3.775 4.702 14.789 Å, 80.90 82.68 89.99°
Atoms (fractional coordinates):
Nd1 0.000 0.000 0.000
Nd2 0.143 0.643 0.714
Nd3 0.857 0.357 0.286
Zn1 0.313 0.815 0.372
Zn2 0.456 0.454 0.090
Zn3 0.544 0.546 0.910
Zn4 0.687 0.185 0.628
Cd1 0.259 0.259 0.483
Cd2 0.407 0.906 0.186
Cd3 0.593 0.094 0.814
Cd4 0.741 0.741 0.517

The 10 most intense peaks (10 to 90 degrees two-theta), low angle first:
- 2θ 32.10, d 2.789, I = 42
- 2θ 32.84, d 2.727, I = 100
- 2θ 38.29, d 2.351, I = 31
- 2θ 39.22, d 2.297, I = 45
- 2θ 48.21, d 1.887, I = 16
- 2θ 50.80, d 1.797, I = 23
- 2θ 63.17, d 1.472, I = 14
- 2θ 63.82, d 1.458, I = 21
- 2θ 65.79, d 1.419, I = 13
- 2θ 89.37, d 1.096, I = 9


NdZn2Cd: simulated powder diffraction line list (a wavelength of 1.5418 Å), based on a PBE-relaxed structure.
Peak positions follow from Bragg's law for the DFT cell and can differ from measured ones.

Structure:
Cell: 4.908 4.908 4.908 Å, 60.00 60.00 60.00°
Atoms (fractional coordinates):
Nd1 0.000 0.000 0.000
Zn1 0.250 0.250 0.250
Zn2 0.750 0.750 0.750
Cd1 0.500 0.500 0.500

The 10 most intense peaks (10 to 90 degrees two-theta), low angle first:
- 2θ 22.18, d 4.008, I = 1
- 2θ 25.67, d 3.471, I = 11
- 2θ 36.62, d 2.454, I = 100
- 2θ 45.25, d 2.004, I = 3
- 2θ 52.75, d 1.735, I = 17
- 2θ 59.56, d 1.552, I = 4
- 2θ 65.92, d 1.417, I = 34
- 2θ 77.84, d 1.227, I = 10
- 2θ 83.57, d 1.157, I = 2
- 2θ 89.24, d 1.098, I = 15


Nd3Zn3Cd: simulated powder diffraction line list (a wavelength of 1.5418 Å), based on a PBE-relaxed structure.
Peak positions follow from Bragg's law for the DFT cell and can differ from measured ones.

Structure:
Cell: 10.663 10.663 10.663 Å, 160.37 154.70 32.23°
Atoms (fractional coordinates):
Nd1 0.000 0.000 0.000
Nd2 0.389 0.389 0.000
Nd3 0.685 0.185 0.500
Zn1 0.123 0.623 0.500
Zn2 0.553 0.553 0.000
Zn3 0.834 0.834 0.000
Cd1 0.258 0.758 0.500

The 10 most intense peaks (10 to 90 degrees two-theta), low angle first:
- 2θ 23.07, d 3.855, I = 21
- 2θ 32.40, d 2.763, I = 100
- 2θ 32.93, d 2.720, I = 57
- 2θ 36.22, d 2.480, I = 58
- 2θ 38.55, d 2.336, I = 34
- 2θ 50.18, d 1.818, I = 16
- 2θ 51.58, d 1.772, I = 32
- 2θ 63.43, d 1.467, I = 30
- 2θ 65.01, d 1.435, I = 14
- 2θ 65.89, d 1.418, I = 13


Nd2Zn3Cd: simulated powder diffraction line list (a wavelength of 1.5418 Å), based on a PBE-relaxed structure.
Peak positions follow from Bragg's law for the DFT cell and can differ from measured ones.

Structure:
Cell: 8.627 8.627 8.627 Å, 155.05 148.28 40.77°
Atoms (fractional coordinates):
Nd1 0.000 0.000 0.000
Nd2 0.770 0.270 0.500
Zn1 0.176 0.676 0.500
Zn2 0.333 0.833 0.500
Zn3 0.430 0.430 0.000
Cd1 0.597 0.597 0.000

The 10 most intense peaks (10 to 90 degrees two-theta), low angle first:
- 2θ 29.13, d 3.065, I = 22
- 2θ 32.57, d 2.749, I = 100
- 2θ 33.60, d 2.667, I = 42
- 2θ 36.79, d 2.443, I = 20
- 2θ 38.17, d 2.358, I = 29
- 2θ 43.62, d 2.075, I = 14
- 2θ 46.23, d 1.964, I = 16
- 2θ 48.88, d 1.863, I = 14
- 2θ 60.62, d 1.527, I = 15
- 2θ 61.45, d 1.509, I = 14


Nd4Zn2Cd5: simulated powder diffraction line list (a wavelength of 1.5418 Å), based on a PBE-relaxed structure.
Peak positions follow from Bragg's law for the DFT cell and can differ from measured ones.

Structure:
Cell: 7.790 3.713 10.021 Å, 90.00 94.57 90.00°
Atoms (fractional coordinates):
Nd1 0.168 0.000 0.370
Nd2 0.256 0.000 0.942
Nd3 0.744 0.000 0.058
Nd4 0.832 0.000 0.630
Zn1 0.059 0.500 0.130
Zn2 0.941 0.500 0.870
Cd1 0.190 0.500 0.659
Cd2 0.439 0.500 0.198
Cd3 0.500 0.500 0.500
Cd4 0.561 0.500 0.802
Cd5 0.810 0.500 0.341

The 10 most intense peaks (10 to 90 degrees two-theta), low angle first:
- 2θ 30.01, d 2.978, I = 45
- 2θ 31.65, d 2.827, I = 85
- 2θ 32.70, d 2.739, I = 67
- 2θ 33.39, d 2.683, I = 53
- 2θ 35.11, d 2.556, I = 97
- 2θ 36.24, d 2.479, I = 30
- 2θ 36.93, d 2.434, I = 100
- 2θ 37.15, d 2.420, I = 37
- 2θ 49.07, d 1.856, I = 35
- 2θ 62.97, d 1.476, I = 40